1.
Starting from a DFT-relaxed cell (GGA-PBE, Alexandria), the X-ray powder pattern of Ac3In2Sn2 was simulated for λ = 1.5418 Å (Cu Kα).
Lines closer than 0.1° are merged.

Top 10 peaks for 2θ from 5° to 70°, by intensity:
2θ = 27.85°, I 1000
2θ = 34.71°, I 675
2θ = 28.41°, I 557
2θ = 36.38°, I 424
2θ = 28.99°, I 413
2θ = 34.29°, I 281
2θ = 24.03°, I 241
2θ = 55.50°, I 230
2θ = 59.52°, I 229
2θ = 47.17°, I 223

Crystal structure
abc: 12.322 4.939 8.421
angles: 90.00 111.30 90.00
Space group C2/m (No. 12)
Inequivalent atoms, fractional coordinates:
Ac  0.000  0.000  0.000
Ac  0.173  0.000  0.627
In  0.189  0.500  0.933
Sn  0.039  0.500  0.335

***

2.
Starting from a DFT-relaxed cell (GGA-PBE, Alexandria), the X-ray powder pattern of CaTe2O5 was simulated for λ = 1.5418 Å (Cu Kα).
Lines closer than 0.1° are merged.

Top 10 peaks for 2θ from 5° to 70°, by intensity:
2θ = 28.10°, I 1000
2θ = 25.64°, I 663
2θ = 17.48°, I 627
2θ = 21.98°, I 539
2θ = 22.17°, I 525
2θ = 35.95°, I 412
2θ = 20.28°, I 404
2θ = 32.23°, I 387
2θ = 23.52°, I 256
2θ = 39.17°, I 224

Crystal structure
abc: 9.616 5.847 11.205
angles: 90.00 114.38 90.00
Space group P2_1/c (No. 14)
Inequivalent atoms, fractional coordinates:
Ca  0.025  0.195  0.141
Te  0.258  0.678  0.219
Te  0.348  0.138  0.488
O  0.115  0.647  0.585
O  0.137  0.508  0.284
O  0.205  0.527  0.843
O  0.225  0.092  0.597
O  0.477  0.606  0.091

***

3.
Starting from a DFT-relaxed cell (GGA-PBE, Alexandria), the X-ray powder pattern of Tl2GeBiO4 was simulated for λ = 1.5418 Å (Cu Kα).
Lines closer than 0.1° are merged.

Top 10 peaks for 2θ from 5° to 70°, by intensity:
2θ = 27.34°, I 1000
2θ = 31.36°, I 767
2θ = 25.94°, I 543
2θ = 35.05°, I 320
2θ = 39.96°, I 280
2θ = 54.19°, I 238
2θ = 44.12°, I 237
2θ = 56.51°, I 223
2θ = 20.99°, I 186
2θ = 62.89°, I 173

Crystal structure
abc: 7.517 8.463 5.120
angles: 90.00 90.00 90.00
Space group Pmn2_1 (No. 31)
Inequivalent atoms, fractional coordinates:
Tl  0.228  0.137  0.000
Ge  0.000  0.386  0.476
Bi  0.000  0.659  0.008
O  0.000  0.409  0.124
O  0.000  0.585  0.594
O  0.196  0.280  0.558